Theoretical X-ray diffraction stick pattern
Compound: Sr3Hg2Pd7
Radiation: Cu Kα, 1.54184 Å
Structure: a crystal structure in OQMD, relaxed with GGA-PBE

Crystal structure
```
data_Sr3Hg2Pd7
_space_group_name_H-M_alt 'P 1'
_space_group_IT_number 1
_space_group_name_Hall 'P 1'
_cell_length_a 9.5576
_cell_length_b 9.5576
_cell_length_c 9.5576
_cell_angle_alpha 34.68
_cell_angle_beta 34.68
_cell_angle_gamma 34.68
loop_
_atom_site_label
_atom_site_fract_x
_atom_site_fract_y
_atom_site_fract_z
Sr1 0.0000 0.0000 0.0000
Sr2 0.1402 0.1402 0.1402
Sr3 0.8598 0.8598 0.8598
Hg1 0.3332 0.3332 0.3332
Hg2 0.6668 0.6668 0.6668
Pd1 0.0835 0.5851 0.5851
Pd2 0.4149 0.4149 0.9165
Pd3 0.4149 0.9165 0.4149
Pd4 0.5000 0.5000 0.5000
Pd5 0.5851 0.0835 0.5851
Pd6 0.5851 0.5851 0.0835
Pd7 0.9165 0.4149 0.4149
```

Top 8 peaks for 2θ from 10° to 80°, by angle:
2θ/deg  d (Å)  I (rel.)
18.3  4.853  31
31.4  2.848  30
37.4  2.405  100
40.2  2.243  58
41.2  2.192  16
59.9  1.544  25
65.5  1.424  23
79.8  1.202  23